Starting from the GGA+U geometry in Alexandria, the powder diffractogram of RbVCuO4 was simulated for Cu Kα X-rays.

Structure:
a b c (Å): 5.284 5.730 8.308
angles (deg): 90.00 105.23 90.00
Element x y z (fractional)
Rb1 0.026 0.250 0.177
Rb2 0.974 0.750 0.823
V1 0.293 0.250 0.705
V2 0.707 0.750 0.295
Cu1 0.406 0.750 0.497
Cu2 0.594 0.250 0.503
O1 0.005 0.750 0.435
O2 0.253 0.250 0.900
O3 0.490 0.009 0.662
O4 0.490 0.491 0.662
O5 0.510 0.509 0.338
O6 0.510 0.991 0.338
O7 0.747 0.750 0.100
O8 0.995 0.250 0.565

Top 10 peaks for 10 to 90 degrees two-theta, sorted by position:
| Position (°2θ) | d_spacing | intensity | hkl |
| --- | --- | --- | --- |
| 11.0 | 8.016 | 90 | 0 0 1 |
| 23.0 | 3.866 | 83 | 1 0 1 |
| 27.2 | 3.284 | 47 | 0 1 2 |
| 27.8 | 3.205 | 82 | 1 1 1 |
| 29.0 | 3.079 | 100 | 1 1 -2 |
| 31.2 | 2.865 | 75 | 0 2 0 |
| 37.5 | 2.396 | 54 | 2 1 -1 |
| 45.2 | 2.008 | 23 | 1 2 2 |
| 46.5 | 1.954 | 28 | 0 2 3 |
| 53.3 | 1.718 | 27 | 2 2 -3 |